For Pm5YPb5, a crystal structure in Alexandria, relaxed with GGA-PBE gives the calculated X-ray diffraction stick pattern in this record (λ = 1.5418 Å (Cu Kα)).

Cell lengths 8.660, 8.660, 7.539 Å; angles 102.97, 102.97, 43.25 degrees
Positions (direct):
Pm 0.000 0.000 0.000
Pm 0.333 0.333 0.173
Pm 0.338 0.338 0.676
Pm 0.662 0.662 0.324
Pm 0.667 0.667 0.827
Y 0.000 0.000 0.500
Pb 0.165 0.165 0.837
Pb 0.166 0.166 0.343
Pb 0.500 0.500 0.500
Pb 0.834 0.834 0.657
Pb 0.835 0.835 0.163

Peak list (12 most intense, 2θ = 10–90°, sorted by position)
2θ (°)	Rel. int.
27.96	100
29.14	89
29.36	88
34.44	58
40.82	73
40.98	72
44.93	56
48.29	23
56.73	28
65.96	36
66.12	18
66.27	18

=====

For Pm3YPb5, a crystal structure in Alexandria, relaxed with GGA-PBE gives the calculated X-ray diffraction stick pattern in this record (λ = 1.5418 Å (Cu Kα)).

Cell lengths 9.682, 9.682, 6.622 Å; angles 90.00, 90.00, 120.00 degrees
Positions (direct):
Pm 0.000 0.382 0.250
Pm 0.000 0.618 0.750
Pm 0.382 0.000 0.250
Pm 0.382 0.382 0.750
Pm 0.618 0.000 0.750
Pm 0.618 0.618 0.250
Y 0.000 0.000 0.000
Y 0.000 0.000 0.500
Pb 0.000 0.285 0.750
Pb 0.000 0.715 0.250
Pb 0.285 0.000 0.750
Pb 0.285 0.285 0.250
Pb 0.333 0.667 0.000
Pb 0.333 0.667 0.500
Pb 0.667 0.333 0.000
Pb 0.667 0.333 0.500
Pb 0.715 0.000 0.250
Pb 0.715 0.715 0.750

Peak list (12 most intense, 2θ = 10–90°, sorted by position)
2θ (°)	Rel. int.
31.29	45
32.02	91
32.77	100
41.14	15
46.47	30
49.33	10
50.38	12
57.56	28
60.03	13
63.34	14
65.54	24
76.58	14

=====

For Pm2YPb2, a crystal structure in Alexandria, relaxed with GGA-PBE gives the calculated X-ray diffraction stick pattern in this record (λ = 1.5418 Å (Cu Kα)).

Cell lengths 8.281, 8.281, 4.542 Å; angles 90.00, 90.00, 90.00 degrees
Positions (direct):
Pm 0.168 0.332 0.000
Pm 0.332 0.832 0.000
Pm 0.668 0.168 0.000
Pm 0.832 0.668 0.000
Y 0.000 0.000 0.500
Y 0.500 0.500 0.500
Pb 0.137 0.637 0.500
Pb 0.363 0.137 0.500
Pb 0.637 0.863 0.500
Pb 0.863 0.363 0.500

Peak list (12 most intense, 2θ = 10–90°, sorted by position)
2θ (°)	Rel. int.
15.13	11
29.19	7
31.16	100
34.24	30
39.70	21
43.73	7
46.53	7
49.63	10
53.40	18
60.53	10
63.92	16
66.75	12